Entry 1:
Structure and simulated X-ray powder pattern of CaFe2P2O8 (the GGA+U geometry in the Materials Project; CuKα).

Atomic structure:
a b c (Å): 17.489 5.054 16.957
angles (deg): 90.00 118.01 90.00
Space group C2/c (No. 15)
Unique sites:
Ca1 0.157 0.176 0.141 (multiplicity 8)
Fe1 0.000 0.161 0.250 (multiplicity 4)
Fe2 0.092 0.215 0.461 (multiplicity 8)
Fe3 0.250 0.250 0.000 (multiplicity 4)
P1 0.015 0.289 0.611 (multiplicity 8)
P2 0.216 0.231 0.369 (multiplicity 8)
O1 0.021 0.409 0.133 (multiplicity 8)
O2 0.046 0.113 0.694 (multiplicity 8)
O3 0.080 0.220 0.961 (multiplicity 8)
O4 0.083 0.238 0.572 (multiplicity 8)
O5 0.125 0.257 0.357 (multiplicity 8)
O6 0.220 0.327 0.285 (multiplicity 8)
O7 0.221 0.078 0.553 (multiplicity 8)
O8 0.247 0.448 0.105 (multiplicity 8)

Most intense lines, 2θ = 15–90°, sorted by position:
2θ/deg, d/Å, I (rel.), hkl
18.5, 4.787, 67, 1 1 -1
27.3, 3.269, 100, 3 1 1
31.0, 2.884, 38, 6 0 -2
31.4, 2.849, 67, 5 1 -3
32.0, 2.799, 64, 3 1 -5
32.1, 2.788, 34, 2 0 -6
32.3, 2.768, 29, 4 0 -6
35.2, 2.551, 72, 3 1 3
35.5, 2.527, 61, 0 2 0
48.6, 1.872, 29, 2 2 -6

=====

Entry 2:
Structure and simulated X-ray powder pattern of CaFe3P4O14 (the GGA+U geometry in the Materials Project; CuKα).

Atomic structure:
a b c (Å): 7.567 7.781 9.599
angles (deg): 90.00 111.85 90.00
Space group P2_1/c (No. 14)
Unique sites:
Ca1 0.000 0.000 0.000 (multiplicity 2)
Fe1 0.310 0.124 0.473 (multiplicity 4)
Fe2 0.500 0.000 0.000 (multiplicity 2)
P1 0.097 0.064 0.705 (multiplicity 4)
P2 0.378 0.702 0.190 (multiplicity 4)
O1 0.103 0.519 0.805 (multiplicity 4)
O2 0.118 0.193 0.593 (multiplicity 4)
O3 0.176 0.620 0.174 (multiplicity 4)
O4 0.218 0.113 0.871 (multiplicity 4)
O5 0.326 0.626 0.607 (multiplicity 4)
O6 0.468 0.580 0.111 (multiplicity 4)
O7 0.488 0.711 0.361 (multiplicity 4)

Most intense lines, 2θ = 15–90°, sorted by position:
2θ/deg, d/Å, I (rel.), hkl
26.2, 3.403, 23, 1 2 0
28.3, 3.156, 55, 2 1 -2
29.7, 3.003, 100, 1 2 1
30.0, 2.976, 34, 1 2 -2
32.8, 2.732, 32, 2 1 1
33.5, 2.676, 27, 2 1 -3
36.1, 2.491, 31, 0 3 1
36.1, 2.488, 20, 3 0 -2
48.4, 1.882, 19, 2 1 3
53.9, 1.702, 21, 2 4 0

=====

Entry 3:
Structure and simulated X-ray powder pattern of CaFe2P2O10 (the GGA+U geometry in the Materials Project; CuKα).

Atomic structure:
a b c (Å): 11.845 15.656 7.335
angles (deg): 90.00 90.00 90.00
Space group Fdd2 (No. 43)
Unique sites:
Ca1 0.000 0.000 0.000 (multiplicity 8)
Fe1 0.124 0.375 0.876 (multiplicity 16)
P1 0.000 0.208 0.001 (multiplicity 16)
O1 0.001 0.072 0.501 (multiplicity 16)
O2 0.010 0.351 0.669 (multiplicity 16)
O3 0.011 0.149 0.833 (multiplicity 16)
O4 0.105 0.267 0.022 (multiplicity 16)
O5 0.106 0.234 0.481 (multiplicity 16)

Most intense lines, 2θ = 15–90°, sorted by position:
2θ/deg, d/Å, I (rel.), hkl
15.3, 5.793, 18, 1 1 1
22.2, 4.002, 22, 1 3 1
26.3, 3.394, 65, 3 1 1
28.6, 3.118, 41, 2 0 2
30.9, 2.895, 100, 2 2 2
32.0, 2.798, 74, 1 5 1
36.9, 2.439, 31, 2 4 2
45.3, 2.001, 22, 2 6 2
52.9, 1.732, 25, 3 5 3
55.3, 1.660, 25, 0 4 4

=====

Entry 4:
Structure and simulated X-ray powder pattern of Ca2Fe3SbP6O24 (the GGA+U geometry in the Materials Project; CuKα).

Atomic structure:
a b c (Å): 8.6722 8.6722 22.1168
angles (deg): 90.00 90.00 120.00
Space group R3 (No. 146, hexagonal axes)
Unique sites:
Ca1 0.0000 0.0000 0.0000 (multiplicity 3)
Ca2 0.0000 0.0000 0.4942 (multiplicity 3)
Fe1 0.0000 0.0000 0.1429 (multiplicity 3)
Fe2 0.0000 0.0000 0.3462 (multiplicity 3)
Fe3 0.0000 0.0000 0.6416 (multiplicity 3)
Sb1 0.0000 0.0000 0.8475 (multiplicity 3)
P1 0.0030 0.2913 0.2436 (multiplicity 9)
P2 0.0405 0.6674 0.4095 (multiplicity 9)
O1 0.0135 0.2015 0.1858 (multiplicity 9)
O2 0.0161 0.8167 0.6871 (multiplicity 9)
O3 0.0232 0.1837 0.9091 (multiplicity 9)
O4 0.0243 0.8363 0.4105 (multiplicity 9)
O5 0.1481 0.6879 0.4700 (multiplicity 9)
O6 0.1487 0.4591 0.9683 (multiplicity 9)
O7 0.1651 0.4803 0.2448 (multiplicity 9)
O8 0.1683 0.6907 0.7458 (multiplicity 9)

Most intense lines, 2θ = 15–90°, sorted by position:
2θ/deg, d/Å, I (rel.), hkl
19.9, 4.453, 34, 1 0 4
20.5, 4.336, 89, 1 1 0
23.8, 3.738, 94, 2 -1 3
28.7, 3.106, 28, 0 2 4
31.9, 2.810, 100, 1 1 6
35.9, 2.503, 37, 3 0 0
45.8, 1.981, 21, 3 -2 8
48.7, 1.869, 31, 4 -2 6
56.1, 1.639, 25, 1 4 0
62.0, 1.498, 20, 4 1 6

=====

Entry 5:
Structure and simulated X-ray powder pattern of CaFeSnP3O12 (the GGA+U geometry in the Materials Project; CuKα).

Atomic structure:
a b c (Å): 8.7160 8.7160 22.2690
angles (deg): 90.00 90.00 120.00
Space group R3c (No. 161, hexagonal axes)
Unique sites:
Ca1 0.0000 0.0000 0.0000 (multiplicity 6)
Fe1 0.0000 0.0000 0.1449 (multiplicity 6)
Sn1 0.0000 0.0000 0.3496 (multiplicity 6)
P1 0.0030 0.2939 0.2459 (multiplicity 18)
O1 0.0156 0.2011 0.1899 (multiplicity 18)
O2 0.0200 0.1864 0.9130 (multiplicity 18)
O3 0.1421 0.4563 0.9716 (multiplicity 18)
O4 0.1691 0.4803 0.2479 (multiplicity 18)

Most intense lines, 2θ = 15–90°, sorted by position:
2θ/deg, d/Å, I (rel.), hkl
19.8, 4.480, 45, 1 0 4
20.4, 4.358, 99, 1 1 0
23.7, 3.758, 74, 1 1 3
28.6, 3.124, 33, 0 2 4
31.7, 2.826, 100, 1 1 6
35.7, 2.516, 41, 3 0 0
45.5, 1.992, 22, 1 2 8
48.4, 1.879, 33, 2 2 6
55.8, 1.647, 27, 4 1 0
61.6, 1.506, 24, 4 1 6

=====

Entry 6:
Structure and simulated X-ray powder pattern of CaTi2Fe2P6O24 (the GGA+U geometry in the Materials Project; CuKα).

Atomic structure:
a b c (Å): 8.6742 8.6742 21.8516
angles (deg): 90.00 90.00 120.00
Space group R3 (No. 146, hexagonal axes)
Unique sites:
Ca1 0.0000 0.0000 0.0000 (multiplicity 3)
Ti1 0.0000 0.0000 0.3615 (multiplicity 3)
Ti2 0.0000 0.0000 0.8504 (multiplicity 3)
Fe1 0.0000 0.0000 0.1465 (multiplicity 3)
Fe2 0.0000 0.0000 0.6409 (multiplicity 3)
P1 0.0040 0.2895 0.7472 (multiplicity 9)
P2 0.0465 0.6674 0.9167 (multiplicity 9)
O1 0.0178 0.8174 0.1916 (multiplicity 9)
O2 0.0246 0.8360 0.9148 (multiplicity 9)
O3 0.0261 0.2036 0.6897 (multiplicity 9)
O4 0.0308 0.1972 0.4107 (multiplicity 9)
O5 0.1535 0.4768 0.4723 (multiplicity 9)
O6 0.1584 0.6859 0.9739 (multiplicity 9)
O7 0.1651 0.6924 0.2522 (multiplicity 9)
O8 0.1685 0.4780 0.7508 (multiplicity 9)

Most intense lines, 2θ = 15–90°, sorted by position:
2θ/deg, d/Å, I (rel.), hkl
20.1, 4.418, 29, 1 0 4
20.5, 4.337, 38, 1 1 0
23.9, 3.727, 100, 2 -1 3
28.8, 3.095, 27, 0 2 4
31.8, 2.816, 17, 2 1 1
32.1, 2.789, 43, 2 -1 6
35.9, 2.504, 18, 3 0 0
46.1, 1.968, 16, 3 -2 8
48.9, 1.863, 16, 2 2 6
56.1, 1.639, 15, 1 4 0